# 1
This entry pairs a crystal structure of RbSrSn3 with its simulated X-ray powder pattern. Radiation: Cu Kα (λ = 1.5418 Å). Structure: a DFT-relaxed cell (PBE, Alexandria).

Largest 10 diffraction maxima, in order of rising 2θ, 5° ≤ 2θ ≤ 70°:
| 2θ (°) | d_spacing | intensity |
| --- | --- | --- |
| 14.3 | 6.178 | 27 |
| 25.0 | 3.567 | 86 |
| 28.9 | 3.089 | 100 |
| 32.4 | 2.763 | 15 |
| 41.3 | 2.184 | 77 |
| 48.9 | 1.863 | 43 |
| 51.2 | 1.783 | 28 |
| 59.9 | 1.544 | 13 |
| 65.9 | 1.417 | 18 |
| 67.8 | 1.381 | 36 |

Atomic structure:
```
RbSrSn3
1.0
6.178 0.000 0.000
0.000 6.178 0.000
0.000 0.000 6.178
Rb Sr Sn
1 1 3
direct
0.000 0.000 0.000
0.500 0.500 0.500
0.000 0.500 0.500
0.500 0.000 0.500
0.500 0.500 0.000
```

=====

# 2
This entry pairs a crystal structure of RbSr2SnTe4 with its simulated X-ray powder pattern. Radiation: Cu Kα (λ = 1.5418 Å). Structure: a DFT-relaxed cell (PBE, Alexandria).

Largest 10 diffraction maxima, in order of rising 2θ, 5° ≤ 2θ ≤ 70°:
| 2θ (°) | d_spacing | intensity |
| --- | --- | --- |
| 11.3 | 7.799 | 3 |
| 26.4 | 3.377 | 100 |
| 37.7 | 2.388 | 76 |
| 46.6 | 1.950 | 27 |
| 54.3 | 1.690 | 8 |
| 54.4 | 1.686 | 4 |
| 61.3 | 1.511 | 23 |
| 61.5 | 1.508 | 11 |
| 68.0 | 1.379 | 16 |
| 68.1 | 1.377 | 8 |

Atomic structure:
```
RbSr2SnTe4
1.0
-4.779 4.781 6.742
4.779 -4.781 6.742
4.779 4.781 -6.742
Rb Sr Sn Te
2 4 2 8
direct
0.500 0.000 0.000
0.500 0.500 0.500
0.000 0.000 0.000
0.000 0.000 0.500
0.000 0.500 0.000
0.500 0.000 0.500
0.000 0.500 0.500
0.500 0.500 0.000
0.223 0.741 0.482
0.241 0.259 0.982
0.242 0.252 0.510
0.242 0.731 0.990
0.758 0.269 0.010
0.758 0.748 0.490
0.759 0.741 0.018
0.777 0.259 0.518
```

=====

# 3
This entry pairs a crystal structure of RbSn6Te8 with its simulated X-ray powder pattern. Radiation: Cu Kα (λ = 1.5418 Å). Structure: a DFT-relaxed cell (PBE, Alexandria).

Largest 10 diffraction maxima, in order of rising 2θ, 5° ≤ 2θ ≤ 70°:
| 2θ (°) | d_spacing | intensity |
| --- | --- | --- |
| 8.7 | 10.153 | 67 |
| 24.8 | 3.595 | 27 |
| 26.3 | 3.386 | 95 |
| 30.5 | 2.934 | 100 |
| 31.8 | 2.816 | 36 |
| 36.5 | 2.464 | 99 |
| 39.6 | 2.276 | 28 |
| 43.6 | 2.074 | 38 |
| 54.2 | 1.693 | 27 |
| 67.8 | 1.382 | 22 |

Atomic structure:
```
RbSn6Te8
1.0
11.724 0.000 0.000
-5.862 10.153 0.000
0.000 0.000 4.552
Rb Sn Te
1 6 8
direct
0.000 0.000 0.000
0.137 0.653 0.752
0.347 0.484 0.752
0.484 0.137 0.248
0.516 0.863 0.752
0.653 0.516 0.248
0.863 0.347 0.248
0.034 0.345 0.748
0.311 0.966 0.748
0.333 0.667 0.251
0.345 0.311 0.252
0.655 0.689 0.748
0.667 0.333 0.749
0.689 0.034 0.252
0.966 0.655 0.252
```

=====

# 4
This entry pairs a crystal structure of Rb2Sn3Te8 with its simulated X-ray powder pattern. Radiation: Cu Kα (λ = 1.5418 Å). Structure: a DFT-relaxed cell (PBE, Alexandria).

Largest 10 diffraction maxima, in order of rising 2θ, 5° ≤ 2θ ≤ 70°:
| 2θ (°) | d_spacing | intensity |
| --- | --- | --- |
| 9.5 | 9.261 | 100 |
| 20.0 | 4.431 | 20 |
| 27.5 | 3.246 | 22 |
| 27.7 | 3.219 | 66 |
| 31.3 | 2.858 | 82 |
| 40.1 | 2.251 | 17 |
| 42.2 | 2.143 | 30 |
| 42.4 | 2.131 | 41 |
| 49.2 | 1.850 | 19 |
| 57.5 | 1.603 | 13 |

Atomic structure:
```
Rb2Sn3Te8
1.0
9.589 -3.698 0.000
9.589 3.698 0.000
-2.026 0.000 7.556
Rb Sn Te
2 3 8
direct
0.244 0.244 0.293
0.756 0.756 0.707
0.000 0.000 0.500
0.258 0.742 0.000
0.742 0.258 0.000
0.096 0.096 0.888
0.197 0.618 0.617
0.382 0.803 0.383
0.397 0.397 0.095
0.603 0.603 0.905
0.618 0.197 0.617
0.803 0.382 0.383
0.904 0.904 0.112
```